Calculated powder diffractogram
Compound: KMg3O
Radiation: a wavelength of 1.5418 Å
Structure: DFT lattice parameters and positions (PBE)
Neutral-atom scattering factors, no anomalous dispersion.

```
data_KMg3O
_chemical_formula_sum 'K1 Mg3 O1'
_cell_length_a 4.814
_cell_length_b 4.814
_cell_length_c 4.814
_cell_angle_alpha 90.00
_cell_angle_beta 90.00
_cell_angle_gamma 90.00
_space_group_name_H-M_alt 'P 1'
_space_group_IT_number 1
loop_
_space_group_symop_operation_xyz
'x,y,z'
loop_
_atom_site_label
_atom_site_type_symbol
_atom_site_fract_x
_atom_site_fract_y
_atom_site_fract_z
K1 K 0.000 0.000 0.000
Mg1 Mg 0.000 0.500 0.500
Mg2 Mg 0.500 0.000 0.500
Mg3 Mg 0.500 0.500 0.000
O1 O 0.500 0.500 0.500
```

The 6 most intense peaks (10° ≤ 2θ ≤ 90°), in order of rising 2θ:
26.18 deg, rel. 28
32.21 deg, rel. 100
37.36 deg, rel. 87
53.86 deg, rel. 54
64.16 deg, rel. 38
67.38 deg, rel. 17

***

Calculated powder diffractogram
Compound: AcZn4Au12
Radiation: a wavelength of 1.5418 Å
Structure: DFT lattice parameters and positions (PBE)
Neutral-atom scattering factors, no anomalous dispersion.

```
data_AcZn4Au12
_chemical_formula_sum 'Ac1 Zn4 Au12'
_cell_length_a 7.795
_cell_length_b 7.795
_cell_length_c 7.795
_cell_angle_alpha 109.47
_cell_angle_beta 109.47
_cell_angle_gamma 109.47
_space_group_name_H-M_alt 'P 1'
_space_group_IT_number 1
loop_
_space_group_symop_operation_xyz
'x,y,z'
loop_
_atom_site_label
_atom_site_type_symbol
_atom_site_fract_x
_atom_site_fract_y
_atom_site_fract_z
Ac1 Ac 0.000 0.000 0.000
Zn1 Zn 0.000 0.000 0.500
Zn2 Zn 0.000 0.500 0.000
Zn3 Zn 0.500 0.000 0.000
Zn4 Zn 0.500 0.500 0.500
Au1 Au 0.155 0.345 0.501
Au2 Au 0.155 0.655 0.810
Au3 Au 0.190 0.845 0.345
Au4 Au 0.345 0.190 0.845
Au5 Au 0.345 0.501 0.155
Au6 Au 0.499 0.845 0.655
Au7 Au 0.501 0.155 0.345
Au8 Au 0.655 0.499 0.845
Au9 Au 0.655 0.810 0.155
Au10 Au 0.810 0.155 0.655
Au11 Au 0.845 0.345 0.190
Au12 Au 0.845 0.655 0.499
```

The 6 most intense peaks (10° ≤ 2θ ≤ 90°), in order of rising 2θ:
31.43 deg, rel. 100
37.39 deg, rel. 42
49.62 deg, rel. 16
51.79 deg, rel. 34
61.85 deg, rel. 14
71.03 deg, rel. 17

***

Calculated powder diffractogram
Compound: Nb4RhC2
Radiation: a wavelength of 1.5418 Å
Structure: DFT lattice parameters and positions (PBE)
Neutral-atom scattering factors, no anomalous dispersion.

```
data_Nb4RhC2
_chemical_formula_sum 'Nb8 Rh2 C4'
_cell_length_a 5.636
_cell_length_b 5.636
_cell_length_c 11.449
_cell_angle_alpha 90.00
_cell_angle_beta 90.00
_cell_angle_gamma 146.77
_space_group_name_H-M_alt 'P 1'
_space_group_IT_number 1
loop_
_space_group_symop_operation_xyz
'x,y,z'
loop_
_atom_site_label
_atom_site_type_symbol
_atom_site_fract_x
_atom_site_fract_y
_atom_site_fract_z
Nb1 Nb 0.000 0.000 0.000
Nb2 Nb 0.000 0.000 0.500
Nb3 Nb 0.264 0.736 0.605
Nb4 Nb 0.264 0.736 0.895
Nb5 Nb 0.418 0.582 0.250
Nb6 Nb 0.582 0.418 0.750
Nb7 Nb 0.736 0.264 0.105
Nb8 Nb 0.736 0.264 0.395
Rh1 Rh 0.107 0.893 0.250
Rh2 Rh 0.893 0.107 0.750
C1 C 0.366 0.634 0.062
C2 C 0.366 0.634 0.438
C3 C 0.634 0.366 0.562
C4 C 0.634 0.366 0.938
```

The 6 most intense peaks (10° ≤ 2θ ≤ 90°), in order of rising 2θ:
35.50 deg, rel. 73
36.80 deg, rel. 41
37.46 deg, rel. 90
38.29 deg, rel. 100
40.74 deg, rel. 25
69.54 deg, rel. 24

***

Calculated powder diffractogram
Compound: PrEr2IO8
Radiation: a wavelength of 1.5418 Å
Structure: DFT lattice parameters and positions (PBE)
Neutral-atom scattering factors, no anomalous dispersion.

```
data_PrEr2IO8
_chemical_formula_sum 'Pr1 Er2 I1 O8'
_cell_length_a 5.033
_cell_length_b 5.033
_cell_length_c 6.952
_cell_angle_alpha 90.00
_cell_angle_beta 90.00
_cell_angle_gamma 90.55
_space_group_name_H-M_alt 'P 1'
_space_group_IT_number 1
loop_
_space_group_symop_operation_xyz
'x,y,z'
loop_
_atom_site_label
_atom_site_type_symbol
_atom_site_fract_x
_atom_site_fract_y
_atom_site_fract_z
Pr1 Pr 0.000 0.000 0.000
Er1 Er 0.500 0.500 0.249
Er2 Er 0.500 0.500 0.751
I1 I 0.000 0.000 0.500
O1 O 0.185 0.185 0.299
O2 O 0.185 0.185 0.701
O3 O 0.267 0.733 0.500
O4 O 0.319 0.681 0.000
O5 O 0.681 0.319 0.000
O6 O 0.733 0.267 0.500
O7 O 0.815 0.815 0.299
O8 O 0.815 0.815 0.701
```

The 6 most intense peaks (10° ≤ 2θ ≤ 90°), in order of rising 2θ:
24.90 deg, rel. 54
25.14 deg, rel. 54
31.27 deg, rel. 100
35.68 deg, rel. 28
48.03 deg, rel. 37
48.30 deg, rel. 38

***

Calculated powder diffractogram
Compound: CrTcAuI
Radiation: a wavelength of 1.5418 Å
Structure: DFT lattice parameters and positions (PBE)
Neutral-atom scattering factors, no anomalous dispersion.

```
data_CrTcAuI
_chemical_formula_sum 'Cr1 Tc1 Au1 I1'
_cell_length_a 3.416
_cell_length_b 3.416
_cell_length_c 8.720
_cell_angle_alpha 101.67
_cell_angle_beta 101.67
_cell_angle_gamma 56.07
_space_group_name_H-M_alt 'P 1'
_space_group_IT_number 1
loop_
_space_group_symop_operation_xyz
'x,y,z'
loop_
_atom_site_label
_atom_site_type_symbol
_atom_site_fract_x
_atom_site_fract_y
_atom_site_fract_z
Cr1 Cr 0.000 0.000 0.000
Tc1 Tc 0.666 0.666 0.839
Au1 Au 0.907 0.907 0.597
I1 I 0.766 0.766 0.237
```

The 6 most intense peaks (10° ≤ 2θ ≤ 90°), in order of rising 2θ:
29.84 deg, rel. 44
31.62 deg, rel. 39
31.76 deg, rel. 100
40.32 deg, rel. 51
41.21 deg, rel. 41
42.73 deg, rel. 68

***

Calculated powder diffractogram
Compound: Pr4Pu6O19
Radiation: a wavelength of 1.5418 Å
Structure: DFT lattice parameters and positions (PBE)
Neutral-atom scattering factors, no anomalous dispersion.

```
data_Pr4Pu6O19
_chemical_formula_sum 'Pr4 Pu6 O19'
_cell_length_a 8.516
_cell_length_b 8.516
_cell_length_c 8.516
_cell_angle_alpha 109.47
_cell_angle_beta 109.47
_cell_angle_gamma 109.47
_space_group_name_H-M_alt 'P 1'
_space_group_IT_number 1
loop_
_space_group_symop_operation_xyz
'x,y,z'
loop_
_atom_site_label
_atom_site_type_symbol
_atom_site_fract_x
_atom_site_fract_y
_atom_site_fract_z
Pr1 Pr 0.000 0.000 0.291
Pr2 Pr 0.000 0.291 0.000
Pr3 Pr 0.291 0.000 0.000
Pr4 Pr 0.709 0.709 0.709
Pu1 Pu 0.173 0.500 0.673
Pu2 Pu 0.327 0.827 0.500
Pu3 Pu 0.500 0.327 0.827
Pu4 Pu 0.500 0.673 0.173
Pu5 Pu 0.673 0.173 0.500
Pu6 Pu 0.827 0.500 0.327
O1 O 0.000 0.000 0.000
O2 O 0.000 0.356 0.356
O3 O 0.000 0.644 0.644
O4 O 0.026 0.761 0.358
O5 O 0.239 0.265 0.596
O6 O 0.265 0.596 0.239
O7 O 0.331 0.735 0.974
O8 O 0.356 0.000 0.356
O9 O 0.356 0.356 0.000
O10 O 0.358 0.026 0.761
O11 O 0.404 0.669 0.642
O12 O 0.596 0.239 0.265
O13 O 0.642 0.404 0.669
O14 O 0.644 0.000 0.644
O15 O 0.644 0.644 0.000
O16 O 0.669 0.642 0.404
O17 O 0.735 0.974 0.331
O18 O 0.761 0.358 0.026
O19 O 0.974 0.331 0.735
```

The 6 most intense peaks (10° ≤ 2θ ≤ 90°), in order of rising 2θ:
12.73 deg, rel. 26
22.14 deg, rel. 34
28.71 deg, rel. 100
34.11 deg, rel. 74
47.12 deg, rel. 46
56.12 deg, rel. 24